Diffraction record for TaTiO4. The X-ray powder pattern is computed, not measured: it uses a cell relaxed with GGA-PBE and Cu Kα, 1.54184 Å.
Lines closer than 0.1° are merged.

Main lines, by intensity (2θ = 10–90°):
2θ (°), I/Imax
35.07, 100
18.61, 94
26.17, 70
26.70, 66
52.16, 44
52.75, 42
39.81, 30
37.73, 29
66.41, 26
61.11, 20

Crystal structure
```
TaTiO4
1.0
3.339 -3.405 0.000
3.339 3.405 0.000
0.000 0.000 3.032
Ta Ti O
1 1 4
direct
0.000 0.000 0.000
0.500 0.500 0.500
0.199 0.801 0.500
0.301 0.301 0.000
0.699 0.699 0.000
0.801 0.199 0.500
```